Entry 1:
Computed PXRD pattern of ZrCo4Si for λ = 1.5418 Å (Cu Kα), from a cell relaxed with PBE.
Kinematic intensities with the Lorentz-polarization factor, no thermal factor.

Largest 10 diffraction maxima, sorted by position, 2θ = 10–80°:
hkl	2theta	intensity
1 1 1	22.97	14
2 0 0	26.59	11
2 2 0	37.95	26
3 1 1	44.83	100
2 2 2	46.94	41
4 0 0	54.76	4
3 3 1	60.15	3
4 2 0	61.88	3
4 2 2	68.56	9
5 1 1	73.37	29

Atomic structure:
```
data_ZrCo4Si
_chemical_formula_sum 'Zr4 Co16 Si4'
_cell_length_a 6.7054
_cell_length_b 6.7054
_cell_length_c 6.7054
_cell_angle_alpha 90.00
_cell_angle_beta 90.00
_cell_angle_gamma 90.00
_space_group_name_H-M_alt 'F -4 3 m'
_space_group_IT_number 216
_space_group_name_Hall 'F -4 2 3'
loop_
_atom_site_label
_atom_site_type_symbol
_atom_site_fract_x
_atom_site_fract_y
_atom_site_fract_z
_atom_site_occupancy
Zr1 Zr 0.0000 0.0000 0.0000 1
Co1 Co 0.1235 0.1235 0.3765 1
Si1 Si 0.2500 0.2500 0.7500 1
```

=====

Entry 2:
Computed PXRD pattern of ZrCo2Si2 for λ = 1.5418 Å (Cu Kα), from a cell relaxed with PBE.
Kinematic intensities with the Lorentz-polarization factor, no thermal factor.

Largest 10 diffraction maxima, sorted by position, 2θ = 10–80°:
hkl	2theta	intensity
1 0 1	25.47	17
1 0 3	36.76	41
0 0 4	37.17	15
1 1 2	38.72	100
2 0 0	48.55	40
1 0 5	53.27	15
2 1 3	62.41	17
2 0 4	62.69	12
1 1 6	68.05	16
2 2 0	71.10	12

Atomic structure:
```
data_ZrCo2Si2
_chemical_formula_sum 'Zr2 Co4 Si4'
_cell_length_a 3.7506
_cell_length_b 3.7506
_cell_length_c 9.6744
_cell_angle_alpha 90.00
_cell_angle_beta 90.00
_cell_angle_gamma 90.00
_space_group_name_H-M_alt 'I 4/m m m'
_space_group_IT_number 139
_space_group_name_Hall '-I 4 2'
loop_
_atom_site_label
_atom_site_type_symbol
_atom_site_fract_x
_atom_site_fract_y
_atom_site_fract_z
_atom_site_occupancy
Zr1 Zr 0.0000 0.0000 0.0000 1
Co1 Co 0.0000 0.5000 0.2500 1
Si1 Si 0.0000 0.0000 0.3779 1
```

=====

Entry 3:
Computed PXRD pattern of Zr6Co16Si7 for λ = 1.5418 Å (Cu Kα), from a cell relaxed with PBE.
Kinematic intensities with the Lorentz-polarization factor, no thermal factor.

Largest 10 diffraction maxima, sorted by position, 2θ = 10–80°:
hkl	2theta	intensity
2 2 2	27.02	28
4 2 2	38.59	25
3 3 3	41.03	100
4 4 0	44.86	95
5 3 1	47.03	19
6 0 0	47.74	18
5 3 3	52.50	13
7 3 3	67.02	10
6 6 0	69.82	21
5 5 5	71.48	13

Atomic structure:
```
data_Zr6Co16Si7
_chemical_formula_sum 'Zr24 Co64 Si28'
_cell_length_a 11.4303
_cell_length_b 11.4303
_cell_length_c 11.4303
_cell_angle_alpha 90.00
_cell_angle_beta 90.00
_cell_angle_gamma 90.00
_space_group_name_H-M_alt 'F m -3 m'
_space_group_IT_number 225
_space_group_name_Hall '-F 4 2 3'
loop_
_atom_site_label
_atom_site_type_symbol
_atom_site_fract_x
_atom_site_fract_y
_atom_site_fract_z
_atom_site_occupancy
Zr1 Zr 0.0000 0.0000 0.2069 1
Co1 Co 0.1201 0.1201 0.3799 1
Co2 Co 0.1730 0.1730 0.1730 1
Si1 Si 0.0000 0.0000 0.5000 1
Si2 Si 0.0000 0.2500 0.2500 1
```

=====

Entry 4:
Computed PXRD pattern of Sm2Co17 for λ = 1.5418 Å (Cu Kα), from a cell relaxed with PBE.
Kinematic intensities with the Lorentz-polarization factor, no thermal factor.

Largest 10 diffraction maxima, sorted by position, 2θ = 10–80°:
hkl	2theta	intensity
1 1 2	30.85	41
3 0 0	37.41	39
2 0 3	41.88	43
2 2 0	43.47	68
3 0 2	43.83	100
0 0 4	44.89	33
2 2 2	49.24	22
4 1 2	63.43	20
2 2 4	64.26	18
6 0 0	79.77	18

Atomic structure:
```
data_Sm2Co17
_chemical_formula_sum 'Sm4 Co34'
_cell_length_a 8.3279
_cell_length_b 8.3279
_cell_length_c 8.0765
_cell_angle_alpha 90.00
_cell_angle_beta 90.00
_cell_angle_gamma 120.00
_space_group_name_H-M_alt 'P 63/m m c'
_space_group_IT_number 194
_space_group_name_Hall '-P 6c 2c'
loop_
_atom_site_label
_atom_site_type_symbol
_atom_site_fract_x
_atom_site_fract_y
_atom_site_fract_z
_atom_site_occupancy
Sm1 Sm 0.0000 0.0000 0.2500 1
Sm2 Sm 0.3333 0.6667 0.2500 1
Co1 Co 0.0000 0.5000 0.0000 1
Co2 Co 0.0509 0.3803 0.7500 1
Co3 Co 0.1673 0.3345 0.0211 1
Co4 Co 0.3333 0.6667 0.6072 1
```

=====

Entry 5:
Computed PXRD pattern of Sm2Co17 for λ = 1.5418 Å (Cu Kα), from a cell relaxed with PBE.
Kinematic intensities with the Lorentz-polarization factor, no thermal factor.

Largest 10 diffraction maxima, sorted by position, 2θ = 10–80°:
hkl	2theta	intensity
1 1 3	30.65	39
3 0 0	37.22	40
0 2 4	38.57	33
2 2 0	43.25	67
3 0 3	43.57	100
0 0 6	44.50	52
2 2 3	48.96	23
1 4 3	63.07	18
2 2 6	63.79	28
6 0 0	79.33	16

Atomic structure:
```
data_Sm2Co17
_chemical_formula_sum 'Sm6 Co51'
_cell_length_a 8.3681
_cell_length_b 8.3681
_cell_length_c 12.2062
_cell_angle_alpha 90.00
_cell_angle_beta 90.00
_cell_angle_gamma 120.00
_space_group_name_H-M_alt 'R -3 m'
_space_group_IT_number 166
_space_group_name_Hall '-R 3 2"'
loop_
_atom_site_label
_atom_site_type_symbol
_atom_site_fract_x
_atom_site_fract_y
_atom_site_fract_z
_atom_site_occupancy
Sm1 Sm 0.0000 0.0000 0.1560 1
Co1 Co 0.0000 0.0000 0.4039 1
Co2 Co 0.0000 0.2863 0.5000 1
Co3 Co 0.0000 0.5000 0.0000 1
Co4 Co 0.0043 0.5021 0.3461 1
```

=====

Entry 6:
Computed PXRD pattern of Sm4Co for λ = 1.5418 Å (Cu Kα), from a cell relaxed with PBE.
Kinematic intensities with the Lorentz-polarization factor, no thermal factor.

Largest 10 diffraction maxima, sorted by position, 2θ = 10–80°:
hkl	2theta	intensity
2 2 2	28.70	100
4 0 0	33.26	40
3 3 1	36.34	9
5 1 1	43.65	10
4 4 0	47.75	42
6 2 2	56.66	39
4 4 4	59.43	9
8 0 0	69.83	6
6 6 2	77.18	14
8 4 0	79.57	10

Atomic structure:
abc: 10.7752 10.7752 10.7752
angles: 90.00 90.00 90.00
Space group Fd-3m (No. 227, origin choice 2)
Inequivalent atoms, fractional coordinates:
Sm 0.0102 0.0102 0.2398 x32
Co 0.1250 0.1250 0.6250 x8

=====

Entry 7:
Computed PXRD pattern of Sm2Co7 for λ = 1.5418 Å (Cu Kα), from a cell relaxed with PBE.
Kinematic intensities with the Lorentz-polarization factor, no thermal factor.

Largest 10 diffraction maxima, sorted by position, 2θ = 10–80°:
hkl	2theta	intensity
1 0 10	32.23	43
0 1 11	34.22	32
1 1 0	36.00	48
0 2 1	41.89	35
1 1 9	42.63	100
0 0 18	45.01	15
2 1 10	62.36	13
2 0 20	67.44	12
0 3 9	69.28	22
2 2 0	76.35	20

Atomic structure:
```
data_Sm2Co7
_chemical_formula_sum 'Sm12 Co42'
_cell_length_a 4.9893
_cell_length_b 4.9893
_cell_length_c 36.2558
_cell_angle_alpha 90.00
_cell_angle_beta 90.00
_cell_angle_gamma 120.00
_space_group_name_H-M_alt 'R -3 m'
_space_group_IT_number 166
_space_group_name_Hall '-R 3 2"'
loop_
_atom_site_label
_atom_site_type_symbol
_atom_site_fract_x
_atom_site_fract_y
_atom_site_fract_z
_atom_site_occupancy
Sm1 Sm 0.0000 0.0000 0.0513 1
Sm2 Sm 0.0000 0.0000 0.1481 1
Co1 Co 0.0000 0.0000 0.2786 1
Co2 Co 0.0000 0.0000 0.3881 1
Co3 Co 0.0000 0.0000 0.5000 1
Co4 Co 0.0000 0.5000 0.0000 1
Co5 Co 0.0016 0.5008 0.1084 1
```

=====

Entry 8:
Computed PXRD pattern of Sm2Co7 for λ = 1.5418 Å (Cu Kα), from a cell relaxed with PBE.
Kinematic intensities with the Lorentz-polarization factor, no thermal factor.

Largest 10 diffraction maxima, sorted by position, 2θ = 10–80°:
hkl	2theta	intensity
1 0 7	33.03	63
1 1 0	35.80	48
2 0 1	41.74	31
1 1 6	42.39	100
0 0 12	44.77	15
2 0 5	45.75	13
2 1 7	62.58	20
2 0 13	65.93	17
3 0 6	68.85	22
2 2 0	75.85	20

Atomic structure:
```
data_Sm2Co7
_chemical_formula_sum 'Sm8 Co28'
_cell_length_a 5.0171
_cell_length_b 5.0171
_cell_length_c 24.2939
_cell_angle_alpha 90.00
_cell_angle_beta 90.00
_cell_angle_gamma 120.00
_space_group_name_H-M_alt 'P 63/m m c'
_space_group_IT_number 194
_space_group_name_Hall '-P 6c 2c'
loop_
_atom_site_label
_atom_site_type_symbol
_atom_site_fract_x
_atom_site_fract_y
_atom_site_fract_z
_atom_site_occupancy
Sm1 Sm 0.3333 0.6667 0.0279 1
Sm2 Sm 0.3333 0.6667 0.1730 1
Co1 Co 0.0000 0.0000 0.0000 1
Co2 Co 0.0000 0.0000 0.1681 1
Co3 Co 0.1659 0.3317 0.5878 1
Co4 Co 0.1661 0.3322 0.7500 1
Co5 Co 0.3333 0.6667 0.6685 1
```